# 1
# HgAs2Pb2O6
Computed X-ray diffraction stick pattern, Cu Kα X-rays. Input: DFT lattice parameters and positions (PBE).
Intensities are scaled so that the largest is 100.

Largest 10 diffraction maxima, by angle, 10 to 90 degrees two-theta:
14.23°, rel. 41.4, (0 1 0)
24.44°, rel. 100.0, (0 2 -1)
24.67°, rel. 39.9, (1 -1 1)
25.03°, rel. 39.5, (1 1 -2)
27.48°, rel. 39.5, (1 0 1)
27.66°, rel. 37.2, (1 0 -2)
29.64°, rel. 56.4, (2 0 -1)
36.84°, rel. 18.7, (1 2 0)
41.49°, rel. 18.8, (0 1 -3)
51.18°, rel. 17.8, (2 1 1)

Structural model:
Lattice parameters (Å, degrees): 6.0310 7.2828 7.3330 118.01 113.49 90.85
Space group P-1 (No. 2)
Asymmetric unit:
Hg 0.0000 0.0000 0.0000 (multiplicity 1)
As 0.3865 0.4111 0.7814 (multiplicity 2)
Pb 0.2987 0.8686 0.5994 (multiplicity 2)
O 0.1122 0.2425 0.6934 (multiplicity 2)
O 0.3528 0.6000 0.7066 (multiplicity 2)
O 0.4433 0.7653 0.3211 (multiplicity 2)

# 2
# ScMo2W2
Computed X-ray diffraction stick pattern, Cu Kα X-rays. Input: DFT lattice parameters and positions (PBE).
Intensities are scaled so that the largest is 100.

Largest 10 diffraction maxima, by angle, 10 to 90 degrees two-theta:
16.24°, rel. 29.8, (1 1 0)
25.82°, rel. 13.3, (2 1 0)
36.83°, rel. 43.5, (3 1 0)
39.91°, rel. 100.0, (2 1 1)
47.11°, rel. 15.2, (4 0 0)
50.16°, rel. 14.1, (3 3 0)
52.60°, rel. 8.3, (3 2 1)
58.16°, rel. 10.7, (4 1 1)
73.26°, rel. 25.9, (5 2 1)
74.46°, rel. 10.9, (3 1 2)

Structural model:
Lattice parameters (Å, degrees): 7.7168 7.7168 2.9880 90.00 90.00 90.00
Space group P4/mbm (No. 127)
Asymmetric unit:
Sc 0.0000 0.0000 0.0000 (multiplicity 2)
Mo 0.1492 0.3508 0.0000 (multiplicity 4)
W 0.1474 0.6474 0.5000 (multiplicity 4)

# 3
# CsCaH2CF
Computed X-ray diffraction stick pattern, Cu Kα X-rays. Input: DFT lattice parameters and positions (PBE).
Intensities are scaled so that the largest is 100.

Largest 10 diffraction maxima, by angle, 10 to 90 degrees two-theta:
12.76°, rel. 84.2, (0 0 1)
23.02°, rel. 64.8, (1 1 0)
24.83°, rel. 100.0, (1 1 -1)
25.68°, rel. 75.1, (0 0 2)
27.88°, rel. 89.2, (1 1 1)
31.54°, rel. 36.3, (2 0 0)
31.66°, rel. 39.0, (2 0 -1)
32.30°, rel. 43.9, (1 1 -2)
33.97°, rel. 51.7, (0 2 0)
47.07°, rel. 46.9, (2 2 -1)

Structural model:
Lattice parameters (Å, degrees): 5.7851 5.2778 7.0758 90.00 101.28 90.00
Space group Cm (No. 8)
Asymmetric unit:
Cs 0.0000 0.0000 0.0000 (multiplicity 2)
Ca 0.1404 0.5000 0.4895 (multiplicity 2)
H 0.1595 0.0000 0.4263 (multiplicity 2)
H 0.2416 0.0000 0.6772 (multiplicity 2)
C 0.0797 0.0000 0.5600 (multiplicity 2)
F 0.0443 0.5000 0.1684 (multiplicity 2)

# 4
# PuZnSn
Computed X-ray diffraction stick pattern, Cu Kα X-rays. Input: DFT lattice parameters and positions (PBE).
Intensities are scaled so that the largest is 100.

Largest 10 diffraction maxima, by angle, 10 to 90 degrees two-theta:
21.45°, rel. 27.6, (1 0 0)
33.58°, rel. 100.0, (1 0 1)
37.60°, rel. 60.8, (1 1 0)
51.29°, rel. 31.0, (2 0 1)
52.45°, rel. 7.9, (0 0 2)
65.31°, rel. 30.4, (2 1 1)
66.31°, rel. 23.6, (1 1 2)
67.87°, rel. 11.1, (3 0 0)
87.01°, rel. 7.3, (1 0 3)
89.88°, rel. 13.9, (3 1 1)

Structural model:
Lattice parameters (Å, degrees): 4.7841 4.7841 3.4894 90.00 90.00 120.00
Space group P-6m2 (No. 187)
Asymmetric unit:
Pu 0.0000 0.0000 0.0000 (multiplicity 1)
Zn 0.3333 0.6667 0.5000 (multiplicity 1)
Sn 0.6667 0.3333 0.5000 (multiplicity 1)

# 5
# NiRu2
Computed X-ray diffraction stick pattern, Cu Kα X-rays. Input: DFT lattice parameters and positions (PBE).
Intensities are scaled so that the largest is 100.

Largest 10 diffraction maxima, by angle, 10 to 90 degrees two-theta:
39.29°, rel. 71.1, (3 1 -1)
42.34°, rel. 76.4, (0 0 2)
44.40°, rel. 97.8, (3 1 -2)
44.83°, rel. 100.0, (0 2 1)
45.37°, rel. 91.7, (3 1 0)
71.18°, rel. 30.8, (3 3 -1)
78.18°, rel. 17.4, (3 1 -4)
79.19°, rel. 17.7, (0 2 3)
85.77°, rel. 18.7, (3 3 -3)
87.15°, rel. 18.1, (3 3 1)

Structural model:
Lattice parameters (Å, degrees): 7.9385 4.5909 5.0884 90.00 122.95 90.00
Space group C2/c (No. 15)
Asymmetric unit:
Ni 0.0000 0.0827 0.2500 (multiplicity 4)
Ru 0.1692 0.4134 0.7498 (multiplicity 8)

# 6
# MnAgIr
Computed X-ray diffraction stick pattern, Cu Kα X-rays. Input: DFT lattice parameters and positions (PBE).
Intensities are scaled so that the largest is 100.

Largest 10 diffraction maxima, by angle, 10 to 90 degrees two-theta:
19.02°, rel. 28.7, (0 0 2)
27.35°, rel. 34.6, (0 1 1)
32.66°, rel. 22.2, (1 0 1)
38.83°, rel. 100.0, (0 1 3)
40.77°, rel. 96.0, (1 1 0)
42.89°, rel. 75.2, (1 0 3)
52.60°, rel. 22.5, (0 2 0)
70.11°, rel. 33.9, (1 2 3)
74.57°, rel. 21.1, (1 1 6)
78.39°, rel. 24.8, (2 1 3)

Structural model:
Lattice parameters (Å, degrees): 2.8684 3.4801 9.3330 90.00 90.00 90.00
Space group Imm2 (No. 44)
Asymmetric unit:
Mn 0.0000 0.0000 0.0000 (multiplicity 2)
Ag 0.0000 0.0000 0.6835 (multiplicity 2)
Ir 0.0000 0.0000 0.3757 (multiplicity 2)

# 7
# Pr4PtSeBr2
Computed X-ray diffraction stick pattern, Cu Kα X-rays. Input: DFT lattice parameters and positions (PBE).
Intensities are scaled so that the largest is 100.

Largest 10 diffraction maxima, by angle, 10 to 90 degrees two-theta:
11.99°, rel. 22.2, (0 0 1)
28.75°, rel. 53.7, (2 0 -2)
29.06°, rel. 100.0, (1 1 1)
37.34°, rel. 12.7, (1 1 2)
39.79°, rel. 17.1, (2 0 2)
41.08°, rel. 35.2, (1 1 -3)
41.58°, rel. 39.5, (3 1 -1)
43.25°, rel. 21.7, (0 2 0)
50.26°, rel. 10.1, (4 0 0)
52.78°, rel. 20.9, (2 2 -2)

Structural model:
Lattice parameters (Å, degrees): 7.6258 4.1823 7.7514 90.00 107.78 90.00
Space group P2/m (No. 10)
Asymmetric unit:
Pr 0.2199 0.0000 0.2112 (multiplicity 2)
Pr 0.2592 0.5000 0.7833 (multiplicity 2)
Pt 0.0000 0.5000 0.0000 (multiplicity 1)
Se 0.5000 0.0000 0.0000 (multiplicity 1)
Br 0.0000 0.0000 0.5000 (multiplicity 1)
Br 0.5000 0.5000 0.5000 (multiplicity 1)

# 8
# LaWN3
Computed X-ray diffraction stick pattern, Cu Kα X-rays. Input: DFT lattice parameters and positions (PBE).
Intensities are scaled so that the largest is 100.

Largest 10 diffraction maxima, by angle, 10 to 90 degrees two-theta:
22.02°, rel. 4.1, (0 1 2)
31.34°, rel. 100.0, (1 0 4)
44.92°, rel. 24.1, (0 2 4)
50.57°, rel. 1.7, (1 1 6)
55.77°, rel. 31.4, (3 0 0)
55.87°, rel. 10.4, (0 1 8)
65.35°, rel. 7.4, (2 2 0)
65.46°, rel. 7.3, (2 0 8)
74.32°, rel. 17.6, (1 2 8)
82.81°, rel. 3.7, (4 0 4)

Structural model:
Lattice parameters (Å, degrees): 5.7117 5.7117 13.9614 90.00 90.00 120.00
Space group R3c (No. 161, hexagonal axes)
Asymmetric unit:
La 0.0000 0.0000 0.0000 (multiplicity 6)
W 0.0000 0.0000 0.2494 (multiplicity 6)
N 0.0011 0.4468 0.0190 (multiplicity 18)

# 9
# LaAs2IrRu
Computed X-ray diffraction stick pattern, Cu Kα X-rays. Input: DFT lattice parameters and positions (PBE).
Intensities are scaled so that the largest is 100.

Largest 10 diffraction maxima, by angle, 10 to 90 degrees two-theta:
15.41°, rel. 30.9, (0 0 2)
31.85°, rel. 55.4, (1 0 3)
34.44°, rel. 100.0, (1 1 2)
43.83°, rel. 51.2, (2 0 0)
44.21°, rel. 27.6, (1 1 4)
55.19°, rel. 23.2, (2 1 3)
57.52°, rel. 30.8, (1 1 6)
63.72°, rel. 16.7, (2 2 0)
74.48°, rel. 21.3, (3 1 2)
81.62°, rel. 15.9, (2 0 8)

Structural model:
Lattice parameters (Å, degrees): 4.1310 4.1310 11.4965 90.00 90.00 90.00
Space group I-4m2 (No. 119)
Asymmetric unit:
La 0.0000 0.0000 0.0000 (multiplicity 2)
As 0.0000 0.0000 0.3664 (multiplicity 4)
Ir 0.0000 0.5000 0.7500 (multiplicity 2)
Ru 0.0000 0.5000 0.2500 (multiplicity 2)

# 10
# KCu2Bi2O6
Computed X-ray diffraction stick pattern, Cu Kα X-rays. Input: DFT lattice parameters and positions (PBE).
Intensities are scaled so that the largest is 100.

Largest 10 diffraction maxima, by angle, 10 to 90 degrees two-theta:
16.00°, rel. 100.0, (0 0 1)
16.72°, rel. 35.0, (1 0 0)
17.53°, rel. 63.3, (1 1 1)
18.87°, rel. 43.4, (0 1 1)
27.91°, rel. 71.1, (1 2 1)
28.80°, rel. 57.7, (2 1 1)
30.59°, rel. 34.4, (1 1 -1)
31.30°, rel. 79.7, (-1 1 1)
31.99°, rel. 41.2, (1 2 0)
33.37°, rel. 37.3, (1 -1 1)

Structural model:
Lattice parameters (Å, degrees): 6.2268 6.4011 6.4457 61.94 66.21 60.97
Space group P-1 (No. 2)
Asymmetric unit:
K 0.0000 0.0000 0.0000 (multiplicity 1)
Cu 0.2845 0.7182 0.5317 (multiplicity 2)
Bi 0.3254 0.3161 0.0500 (multiplicity 2)
O 0.1003 0.5092 0.7629 (multiplicity 2)
O 0.3469 0.8963 0.2062 (multiplicity 2)
O 0.4086 0.6765 0.7825 (multiplicity 2)

# 11
# La3Zn4In7
Computed X-ray diffraction stick pattern, Cu Kα X-rays. Input: DFT lattice parameters and positions (PBE).
Intensities are scaled so that the largest is 100.

Largest 10 diffraction maxima, by angle, 10 to 90 degrees two-theta:
31.75°, rel. 22.5, (0 0 3)
32.16°, rel. 100.0, (1 1 2)
33.49°, rel. 11.9, (5 1 -1)
33.59°, rel. 9.4, (4 0 -4)
34.35°, rel. 16.0, (1 1 -3)
38.93°, rel. 30.5, (0 2 0)
39.17°, rel. 24.0, (6 0 0)
56.42°, rel. 16.1, (6 2 0)
59.16°, rel. 12.2, (3 1 -6)
66.28°, rel. 13.0, (1 3 2)

Structural model:
Lattice parameters (Å, degrees): 17.4216 4.6265 10.6709 90.00 127.63 90.00
Space group C2/m (No. 12)
Asymmetric unit:
La 0.0000 0.0000 0.0000 (multiplicity 2)
La 0.1838 0.5000 0.6714 (multiplicity 4)
Zn 0.1369 0.0000 0.4115 (multiplicity 4)
Zn 0.1584 0.5000 0.0477 (multiplicity 4)
In 0.0000 0.0000 0.5000 (multiplicity 2)
In 0.0096 0.5000 0.7260 (multiplicity 4)
In 0.1627 0.0000 0.9016 (multiplicity 4)
In 0.1682 0.5000 0.3060 (multiplicity 4)

# 12
# CaPr2Nd
Computed X-ray diffraction stick pattern, Cu Kα X-rays. Input: DFT lattice parameters and positions (PBE).
Intensities are scaled so that the largest is 100.

Largest 10 diffraction maxima, by angle, 10 to 90 degrees two-theta:
27.59°, rel. 20.3, (1 0 0)
28.55°, rel. 23.5, (1 0 1)
29.01°, rel. 29.3, (0 0 4)
31.25°, rel. 100.0, (1 0 2)
35.35°, rel. 17.3, (1 0 3)
40.47°, rel. 13.9, (1 0 4)
48.80°, rel. 21.3, (1 1 0)
52.85°, rel. 21.1, (1 0 6)
57.78°, rel. 24.8, (1 1 4)
59.10°, rel. 16.2, (2 0 2)

Structural model:
Lattice parameters (Å, degrees): 3.7326 3.7326 12.3101 90.00 90.00 120.00
Space group P-6m2 (No. 187)
Asymmetric unit:
Ca 0.0000 0.0000 0.0000 (multiplicity 1)
Pr 0.6667 0.3333 0.2589 (multiplicity 2)
Nd 0.3333 0.6667 0.5000 (multiplicity 1)